(1)
Calculated powder X-ray diffraction pattern
Compound: AcInHgSe
Radiation: Cu Kα, 1.54184 Å
Structure: a GGA-PBE-relaxed structure
Kinematic intensities with the Lorentz-polarization factor, no thermal factor.

Largest 8 diffraction maxima, low angle first, 2θ from 10° to 80°:
2θ (°)	Rel. int.
25.87	98
31.20	100
34.70	75
42.89	35
43.79	49
49.89	27
56.30	37
60.04	38

Atomic structure:
Unit cell a=5.170 b=5.170 c=9.238 alpha=90.00 beta=90.00 gamma=90.00
Positions (direct):
1 Ac 0.250 0.250 0.173
2 Ac 0.750 0.750 0.827
3 In 0.250 0.750 0.500
4 In 0.750 0.250 0.500
5 Hg 0.250 0.250 0.675
6 Hg 0.750 0.750 0.325
7 Se 0.250 0.750 0.000
8 Se 0.750 0.250 0.000

=====

(2)
Calculated powder X-ray diffraction pattern
Compound: Ac4Tl2InHg
Radiation: Cu Kα, 1.54184 Å
Structure: a GGA-PBE-relaxed structure
Kinematic intensities with the Lorentz-polarization factor, no thermal factor.

Largest 8 diffraction maxima, low angle first, 2θ from 10° to 80°:
2θ (°)	Rel. int.
18.69	1
21.61	1
30.75	100
44.05	19
49.57	1
54.68	41
64.05	13
72.73	18

Atomic structure:
Unit cell a=10.067 b=10.067 c=10.067 alpha=33.58 beta=33.58 gamma=33.58
Positions (direct):
1 Ac 0.124 0.124 0.124
2 Ac 0.374 0.374 0.374
3 Ac 0.626 0.626 0.626
4 Ac 0.876 0.876 0.876
5 Tl 0.250 0.250 0.250
6 Tl 0.750 0.750 0.750
7 In 0.500 0.500 0.500
8 Hg 0.000 0.000 0.000

=====

(3)
Calculated powder X-ray diffraction pattern
Compound: Ac4TlInHg2
Radiation: Cu Kα, 1.54184 Å
Structure: a GGA-PBE-relaxed structure
Kinematic intensities with the Lorentz-polarization factor, no thermal factor.

Largest 8 diffraction maxima, low angle first, 2θ from 10° to 80°:
2θ (°)	Rel. int.
18.78	1
21.72	1
30.91	100
44.28	19
49.84	1
54.98	41
64.41	13
73.15	18

Atomic structure:
Unit cell a=10.025 b=10.025 c=10.025 alpha=33.54 beta=33.54 gamma=33.54
Positions (direct):
1 Ac 0.125 0.125 0.125
2 Ac 0.375 0.375 0.375
3 Ac 0.625 0.625 0.625
4 Ac 0.875 0.875 0.875
5 Tl 0.500 0.500 0.500
6 In 0.000 0.000 0.000
7 Hg 0.250 0.250 0.250
8 Hg 0.750 0.750 0.750

=====

(4)
Calculated powder X-ray diffraction pattern
Compound: AcTm2In2Hg2
Radiation: Cu Kα, 1.54184 Å
Structure: a GGA-PBE-relaxed structure
Kinematic intensities with the Lorentz-polarization factor, no thermal factor.

Largest 8 diffraction maxima, low angle first, 2θ from 10° to 80°:
2θ (°)	Rel. int.
21.54	12
30.61	100
36.00	94
46.85	20
47.96	29
57.26	15
61.40	28
64.71	17

Atomic structure:
Unit cell a=9.684 b=9.684 c=9.684 alpha=29.86 beta=29.86 gamma=29.86
Positions (direct):
1 Ac 0.000 0.000 0.000
2 Tm 0.135 0.135 0.135
3 Tm 0.865 0.865 0.865
4 In 0.259 0.259 0.259
5 In 0.741 0.741 0.741
6 Hg 0.438 0.438 0.438
7 Hg 0.562 0.562 0.562

=====

(5)
Calculated powder X-ray diffraction pattern
Compound: Ac3ZnIn2Hg6
Radiation: Cu Kα, 1.54184 Å
Structure: a GGA-PBE-relaxed structure
Kinematic intensities with the Lorentz-polarization factor, no thermal factor.

Largest 8 diffraction maxima, low angle first, 2θ from 10° to 80°:
2θ (°)	Rel. int.
28.85	29
32.77	100
33.30	44
36.92	53
51.82	18
55.67	30
63.91	18
66.14	18

Atomic structure:
Unit cell a=6.604 b=6.604 c=9.284 alpha=90.00 beta=90.00 gamma=120.00
Positions (direct):
1 Ac 0.000 0.000 0.000
2 Ac 0.333 0.667 0.623
3 Ac 0.667 0.333 0.377
4 Zn 0.000 0.000 0.500
5 In 0.333 0.667 0.007
6 In 0.667 0.333 0.993
7 Hg 0.174 0.349 0.287
8 Hg 0.174 0.826 0.287
9 Hg 0.349 0.174 0.713
10 Hg 0.651 0.826 0.287
11 Hg 0.826 0.174 0.713
12 Hg 0.826 0.651 0.713

=====

(6)
Calculated powder X-ray diffraction pattern
Compound: Ac8Hg3Ir
Radiation: Cu Kα, 1.54184 Å
Structure: a GGA-PBE-relaxed structure
Kinematic intensities with the Lorentz-polarization factor, no thermal factor.

Largest 8 diffraction maxima, low angle first, 2θ from 10° to 80°:
2θ (°)	Rel. int.
19.77	22
22.87	17
32.56	100
38.38	13
46.75	12
58.10	38
68.21	11
77.70	11

Atomic structure:
Unit cell a=9.533 b=9.533 c=9.533 alpha=131.88 beta=131.88 gamma=70.41
Positions (direct):
1 Ac 0.120 0.120 0.479
2 Ac 0.120 0.641 0.000
3 Ac 0.359 0.359 0.479
4 Ac 0.359 0.880 0.000
5 Ac 0.641 0.120 0.000
6 Ac 0.641 0.641 0.521
7 Ac 0.880 0.359 0.000
8 Ac 0.880 0.880 0.521
9 Hg 0.250 0.750 0.500
10 Hg 0.500 0.500 0.000
11 Hg 0.750 0.250 0.500
12 Ir 0.000 0.000 0.000

=====

(7)
Calculated powder X-ray diffraction pattern
Compound: Ac3Hg2Ir
Radiation: Cu Kα, 1.54184 Å
Structure: a GGA-PBE-relaxed structure
Kinematic intensities with the Lorentz-polarization factor, no thermal factor.

Largest 8 diffraction maxima, low angle first, 2θ from 10° to 80°:
2θ (°)	Rel. int.
27.36	100
27.49	55
36.73	21
38.58	36
39.77	36
41.33	14
47.50	10
50.36	14

Atomic structure:
Unit cell a=7.669 b=7.669 c=8.303 alpha=98.21 beta=98.21 gamma=117.45
Positions (direct):
1 Ac 0.057 0.422 0.778
2 Ac 0.197 0.197 0.197
3 Ac 0.422 0.057 0.778
4 Ac 0.578 0.943 0.222
5 Ac 0.803 0.803 0.803
6 Ac 0.943 0.578 0.222
7 Hg 0.000 0.000 0.500
8 Hg 0.368 0.632 0.500
9 Hg 0.500 0.500 0.000
10 Hg 0.632 0.368 0.500
11 Ir 0.173 0.827 0.000
12 Ir 0.827 0.173 0.000

=====

(8)
Calculated powder X-ray diffraction pattern
Compound: Ac9HgIr3
Radiation: Cu Kα, 1.54184 Å
Structure: a GGA-PBE-relaxed structure
Kinematic intensities with the Lorentz-polarization factor, no thermal factor.

Largest 8 diffraction maxima, low angle first, 2θ from 10° to 80°:
2θ (°)	Rel. int.
25.86	33
26.47	100
26.81	49
27.06	70
27.96	36
37.25	26
41.25	63
48.60	30

Atomic structure:
Unit cell a=7.435 b=11.344 c=12.390 alpha=90.00 beta=95.89 gamma=90.00
Positions (direct):
1 Ac 0.077 0.250 0.198
2 Ac 0.152 0.571 0.380
3 Ac 0.152 0.929 0.380
4 Ac 0.199 0.250 0.853
5 Ac 0.250 0.559 0.042
6 Ac 0.250 0.941 0.042
7 Ac 0.359 0.250 0.528
8 Ac 0.363 0.568 0.708
9 Ac 0.363 0.932 0.708
10 Ac 0.637 0.068 0.292
11 Ac 0.637 0.432 0.292
12 Ac 0.641 0.750 0.472
13 Ac 0.750 0.059 0.958
14 Ac 0.750 0.441 0.958
15 Ac 0.801 0.750 0.147
16 Ac 0.848 0.071 0.620
17 Ac 0.848 0.429 0.620
18 Ac 0.923 0.750 0.802
19 Hg 0.472 0.250 0.085
20 Hg 0.528 0.750 0.915
21 Ir 0.055 0.003 0.827
22 Ir 0.055 0.497 0.827
23 Ir 0.500 0.000 0.500
24 Ir 0.500 0.500 0.500
25 Ir 0.945 0.503 0.173
26 Ir 0.945 0.997 0.173

=====

(9)
Calculated powder X-ray diffraction pattern
Compound: AcHg2IrO6
Radiation: Cu Kα, 1.54184 Å
Structure: a GGA-PBE-relaxed structure
Kinematic intensities with the Lorentz-polarization factor, no thermal factor.

Largest 8 diffraction maxima, low angle first, 2θ from 10° to 80°:
2θ (°)	Rel. int.
28.55	100
30.68	94
33.26	13
42.40	40
53.24	38
54.54	24
63.89	13
71.43	15

Atomic structure:
Unit cell a=6.286 b=6.286 c=6.286 alpha=55.24 beta=55.24 gamma=55.24
Positions (direct):
1 Ac 0.000 0.000 0.000
2 Hg 0.225 0.225 0.225
3 Hg 0.775 0.775 0.775
4 Ir 0.500 0.500 0.500
5 O 0.172 0.392 0.725
6 O 0.275 0.828 0.608
7 O 0.392 0.725 0.172
8 O 0.608 0.275 0.828
9 O 0.725 0.172 0.392
10 O 0.828 0.608 0.275

=====

(10)
Calculated powder X-ray diffraction pattern
Compound: Ac8Hg3PIr3
Radiation: Cu Kα, 1.54184 Å
Structure: a GGA-PBE-relaxed structure
Kinematic intensities with the Lorentz-polarization factor, no thermal factor.

Largest 8 diffraction maxima, low angle first, 2θ from 10° to 80°:
2θ (°)	Rel. int.
27.77	100
38.40	33
40.92	39
50.18	20
57.36	11
63.11	10
66.67	17
72.85	10

Atomic structure:
Unit cell a=8.822 b=8.822 c=9.419 alpha=117.98 beta=117.98 gamma=59.98
Positions (direct):
1 Ac 0.229 0.739 0.706
2 Ac 0.234 0.234 0.703
3 Ac 0.261 0.261 0.294
4 Ac 0.261 0.771 0.294
5 Ac 0.739 0.229 0.706
6 Ac 0.739 0.739 0.706
7 Ac 0.766 0.766 0.297
8 Ac 0.771 0.261 0.294
9 Hg 0.000 0.500 0.000
10 Hg 0.500 0.000 0.000
11 Hg 0.500 0.500 0.000
12 P 0.500 0.500 0.500
13 Ir 0.000 0.000 0.500
14 Ir 0.000 0.500 0.500
15 Ir 0.500 0.000 0.500

=====

(11)
Calculated powder X-ray diffraction pattern
Compound: Ac8Hg4Ir3Pd
Radiation: Cu Kα, 1.54184 Å
Structure: a GGA-PBE-relaxed structure
Kinematic intensities with the Lorentz-polarization factor, no thermal factor.

Largest 8 diffraction maxima, low angle first, 2θ from 10° to 80°:
2θ (°)	Rel. int.
27.72	100
37.77	34
41.36	38
50.52	20
57.25	10
62.21	10
67.27	17
73.05	10

Atomic structure:
Unit cell a=9.607 b=9.607 c=9.607 alpha=54.06 beta=54.06 gamma=54.06
Positions (direct):
1 Ac 0.226 0.739 0.739
2 Ac 0.234 0.234 0.234
3 Ac 0.261 0.261 0.774
4 Ac 0.261 0.774 0.261
5 Ac 0.739 0.226 0.739
6 Ac 0.739 0.739 0.226
7 Ac 0.766 0.766 0.766
8 Ac 0.774 0.261 0.261
9 Hg 0.000 0.000 0.000
10 Hg 0.000 0.500 0.500
11 Hg 0.500 0.000 0.500
12 Hg 0.500 0.500 0.000
13 Ir 0.000 0.000 0.500
14 Ir 0.000 0.500 0.000
15 Ir 0.500 0.000 0.000
16 Pd 0.500 0.500 0.500

=====

(12)
Calculated powder X-ray diffraction pattern
Compound: Ac8Hg4Ir3Pt
Radiation: Cu Kα, 1.54184 Å
Structure: a GGA-PBE-relaxed structure
Kinematic intensities with the Lorentz-polarization factor, no thermal factor.

Largest 8 diffraction maxima, low angle first, 2θ from 10° to 80°:
2θ (°)	Rel. int.
27.71	100
37.64	12
37.82	23
41.26	25
41.50	13
50.61	13
57.26	7
67.11	11

Atomic structure:
Unit cell a=8.704 b=8.752 c=9.597 alpha=63.14 beta=63.04 gamma=60.19
Positions (direct):
1 Ac 0.229 0.237 0.297
2 Ac 0.234 0.733 0.299
3 Ac 0.261 0.273 0.702
4 Ac 0.262 0.763 0.702
5 Ac 0.738 0.237 0.298
6 Ac 0.739 0.727 0.298
7 Ac 0.766 0.267 0.701
8 Ac 0.771 0.763 0.703
9 Hg 0.000 0.000 0.000
10 Hg 0.000 0.500 0.000
11 Hg 0.500 0.000 0.000
12 Hg 0.500 0.500 0.000
13 Ir 0.000 0.000 0.500
14 Ir 0.000 0.500 0.500
15 Ir 0.500 0.500 0.500
16 Pt 0.500 0.000 0.500

=====

(13)
Calculated powder X-ray diffraction pattern
Compound: Ac8Hg4IrRh3
Radiation: Cu Kα, 1.54184 Å
Structure: a GGA-PBE-relaxed structure
Kinematic intensities with the Lorentz-polarization factor, no thermal factor.

Largest 8 diffraction maxima, low angle first, 2θ from 10° to 80°:
2θ (°)	Rel. int.
27.87	100
29.99	9
37.72	11
37.83	22
41.77	38
51.02	13
57.59	10
67.90	11

Atomic structure:
Unit cell a=8.655 b=8.655 c=9.635 alpha=116.87 beta=116.87 gamma=59.87
Positions (direct):
1 Ac 0.233 0.233 0.701
2 Ac 0.233 0.735 0.701
3 Ac 0.265 0.767 0.299
4 Ac 0.266 0.266 0.299
5 Ac 0.734 0.734 0.701
6 Ac 0.735 0.233 0.701
7 Ac 0.767 0.265 0.299
8 Ac 0.767 0.767 0.299
9 Hg 0.000 0.000 0.000
10 Hg 0.000 0.500 0.000
11 Hg 0.500 0.000 0.000
12 Hg 0.500 0.500 0.000
13 Ir 0.000 0.000 0.500
14 Rh 0.000 0.500 0.500
15 Rh 0.500 0.000 0.500
16 Rh 0.500 0.500 0.500